For Th2Zn3Ru2, a structure optimized by DFT (PBE) gives the computed PXRD pattern in this record (Cu Kα X-rays).
No peak broadening, texture or thermal motion is included.

Structural model:
a = 5.259 Å, b = 5.259 Å, c = 7.417 Å
α = 109.58°, β = 109.58°, γ = 46.47°
Element x y z (fractional)
Th 0.143 0.143 0.271
Th 0.857 0.857 0.729
Zn 0.361 0.361 0.053
Zn 0.500 0.500 0.500
Zn 0.639 0.639 0.947
Ru 0.137 0.137 0.692
Ru 0.863 0.863 0.308

Largest 10 diffraction maxima, low angle first, 10° ≤ 2θ ≤ 90°:
2θ (°), d/Å, I_rel
23.6, 3.768, 58
25.8, 3.453, 60
28.7, 3.114, 65
32.4, 2.765, 79
35.3, 2.540, 58
37.0, 2.431, 82
37.9, 2.372, 97
38.5, 2.340, 100
40.1, 2.250, 52
43.6, 2.075, 71


For Ti5Ru6, a structure optimized by DFT (PBE) gives the computed PXRD pattern in this record (Cu Kα X-rays).
No peak broadening, texture or thermal motion is included.

Structural model:
a = 7.412 Å, b = 7.412 Å, c = 7.412 Å
α = 146.25°, β = 131.36°, γ = 60.51°
Element x y z (fractional)
Ti 0.000 0.000 0.000
Ti 0.166 0.666 0.500
Ti 0.338 0.338 0.000
Ti 0.662 0.662 0.000
Ti 0.834 0.334 0.500
Ru 0.086 0.834 0.252
Ru 0.252 0.500 0.752
Ru 0.418 0.166 0.252
Ru 0.582 0.834 0.748
Ru 0.748 0.500 0.248
Ru 0.914 0.166 0.748

Largest 10 diffraction maxima, low angle first, 10° ≤ 2θ ≤ 90°:
2θ (°), d/Å, I_rel
29.3, 3.053, 11
29.5, 3.031, 21
42.0, 2.151, 100
42.3, 2.134, 19
52.0, 1.759, 4
60.7, 1.526, 6
61.2, 1.515, 13
76.5, 1.245, 6
76.7, 1.242, 19
77.2, 1.235, 12


For Ti3Ru, a structure optimized by DFT (PBE) gives the computed PXRD pattern in this record (Cu Kα X-rays).
No peak broadening, texture or thermal motion is included.

Structural model:
a = 5.396 Å, b = 5.396 Å, c = 5.396 Å
α = 140.53°, β = 140.53°, γ = 57.05°
Element x y z (fractional)
Ti 0.000 0.000 0.000
Ti 0.250 0.750 0.500
Ti 0.750 0.250 0.500
Ru 0.500 0.500 0.000

Largest 10 diffraction maxima, low angle first, 10° ≤ 2θ ≤ 90°:
2θ (°), d/Å, I_rel
18.7, 4.741, 9
26.2, 3.402, 16
38.0, 2.371, 29
39.8, 2.264, 100
50.1, 1.822, 25
64.5, 1.445, 22
69.8, 1.347, 17
73.5, 1.289, 7
85.8, 1.132, 10
87.0, 1.120, 18


For Ti4Ru, a structure optimized by DFT (PBE) gives the computed PXRD pattern in this record (Cu Kα X-rays).
No peak broadening, texture or thermal motion is included.

Structural model:
a = 11.394 Å, b = 11.248 Å, c = 2.835 Å
α = 85.74°, β = 79.89°, γ = 14.37°
Element x y z (fractional)
Ti 0.090 0.090 0.910
Ti 0.304 0.304 0.696
Ti 0.696 0.696 0.304
Ti 0.910 0.910 0.090
Ru 0.500 0.500 0.500

Largest 10 diffraction maxima, low angle first, 10° ≤ 2θ ≤ 90°:
2θ (°), d/Å, I_rel
15.9, 5.571, 12
37.8, 2.381, 32
40.3, 2.236, 100
40.5, 2.228, 22
45.2, 2.006, 11
56.6, 1.627, 15
69.9, 1.345, 17
73.3, 1.292, 8
73.5, 1.288, 11
87.2, 1.118, 8


For TiRu4, a structure optimized by DFT (PBE) gives the computed PXRD pattern in this record (Cu Kα X-rays).
No peak broadening, texture or thermal motion is included.

Structural model:
a = 4.426 Å, b = 4.426 Å, c = 4.426 Å
α = 90.00°, β = 90.00°, γ = 90.00°
Element x y z (fractional)
Ti 0.000 0.000 0.000
Ru 0.000 0.000 0.500
Ru 0.000 0.500 0.000
Ru 0.500 0.000 0.000
Ru 0.500 0.500 0.500

Largest 10 diffraction maxima, low angle first, 10° ≤ 2θ ≤ 90°:
2θ (°), d/Å, I_rel
20.1, 4.426, 6
28.5, 3.130, 5
35.1, 2.555, 100
40.8, 2.213, 78
45.8, 1.979, 2
50.5, 1.807, 2
59.0, 1.565, 51
70.6, 1.335, 38
74.2, 1.278, 17
88.3, 1.107, 8


For UTiRu5, a structure optimized by DFT (PBE) gives the computed PXRD pattern in this record (Cu Kα X-rays).
No peak broadening, texture or thermal motion is included.

Structural model:
a = 4.210 Å, b = 4.210 Å, c = 6.416 Å
α = 90.00°, β = 90.00°, γ = 90.00°
Element x y z (fractional)
U 0.000 0.000 0.000
Ti 0.500 0.500 0.500
Ru 0.000 0.500 0.280
Ru 0.000 0.500 0.720
Ru 0.500 0.000 0.280
Ru 0.500 0.000 0.720
Ru 0.500 0.500 0.000

Largest 10 diffraction maxima, low angle first, 10° ≤ 2θ ≤ 90°:
2θ (°), d/Å, I_rel
13.8, 6.416, 25
25.3, 3.520, 18
33.2, 2.700, 41
41.4, 2.182, 100
42.3, 2.139, 10
43.0, 2.105, 48
61.8, 1.500, 14
62.4, 1.488, 16
74.3, 1.276, 14
77.7, 1.230, 31


For Ti2VRu, a structure optimized by DFT (PBE) gives the computed PXRD pattern in this record (Cu Kα X-rays).
No peak broadening, texture or thermal motion is included.

Structural model:
a = 3.062 Å, b = 3.062 Å, c = 6.359 Å
α = 90.00°, β = 90.00°, γ = 90.00°
Element x y z (fractional)
Ti 0.000 0.000 0.243
Ti 0.000 0.000 0.757
V 0.500 0.500 0.500
Ru 0.500 0.500 0.000

Largest 10 diffraction maxima, low angle first, 10° ≤ 2θ ≤ 90°:
2θ (°), d/Å, I_rel
13.9, 6.359, 19
29.2, 3.062, 7
32.5, 2.758, 8
40.9, 2.205, 100
41.7, 2.165, 47
58.0, 1.590, 8
60.5, 1.531, 15
74.0, 1.281, 15
75.6, 1.258, 29
88.7, 1.103, 10


For Ti2VRu, a structure optimized by DFT (PBE) gives the computed PXRD pattern in this record (Cu Kα X-rays).
No peak broadening, texture or thermal motion is included.

Structural model:
a = 4.399 Å, b = 4.399 Å, c = 3.080 Å
α = 90.00°, β = 90.00°, γ = 90.00°
Element x y z (fractional)
Ti 0.000 0.500 0.000
Ti 0.500 0.000 0.000
V 0.000 0.000 0.500
Ru 0.500 0.500 0.500

Largest 10 diffraction maxima, low angle first, 10° ≤ 2θ ≤ 90°:
2θ (°), d/Å, I_rel
20.2, 4.399, 14
28.7, 3.110, 8
35.6, 2.523, 7
41.0, 2.199, 51
41.2, 2.189, 100
59.4, 1.555, 16
60.1, 1.540, 8
74.9, 1.268, 30
75.3, 1.262, 15
89.6, 1.094, 10


For Zr4TiRu5, a structure optimized by DFT (PBE) gives the computed PXRD pattern in this record (Cu Kα X-rays).
No peak broadening, texture or thermal motion is included.

Structural model:
a = 3.236 Å, b = 3.236 Å, c = 16.223 Å
α = 90.00°, β = 90.00°, γ = 90.00°
Element x y z (fractional)
Zr 0.000 0.000 0.102
Zr 0.000 0.000 0.306
Zr 0.000 0.000 0.694
Zr 0.000 0.000 0.898
Ti 0.000 0.000 0.500
Ru 0.500 0.500 0.000
Ru 0.500 0.500 0.204
Ru 0.500 0.500 0.408
Ru 0.500 0.500 0.592
Ru 0.500 0.500 0.796

Largest 10 diffraction maxima, low angle first, 10° ≤ 2θ ≤ 90°:
2θ (°), d/Å, I_rel
27.5, 3.239, 1
35.5, 2.530, 2
39.3, 2.290, 100
56.7, 1.622, 5
56.9, 1.618, 11
66.0, 1.416, 1
71.3, 1.323, 10
71.4, 1.322, 22
84.6, 1.146, 6
84.7, 1.144, 4


For ZrTiRu, a structure optimized by DFT (PBE) gives the computed PXRD pattern in this record (Cu Kα X-rays).
No peak broadening, texture or thermal motion is included.

Structural model:
a = 7.316 Å, b = 7.316 Å, c = 3.223 Å
α = 90.00°, β = 90.00°, γ = 143.00°
Element x y z (fractional)
Zr 0.171 0.829 0.000
Zr 0.829 0.171 0.000
Ti 0.000 0.000 0.500
Ti 0.500 0.500 0.000
Ru 0.342 0.658 0.500
Ru 0.658 0.342 0.500

Largest 10 diffraction maxima, low angle first, 10° ≤ 2θ ≤ 90°:
2θ (°), d/Å, I_rel
12.8, 6.938, 13
38.8, 2.321, 26
38.9, 2.313, 25
39.2, 2.298, 100
56.1, 1.638, 16
57.2, 1.611, 8
70.5, 1.336, 17
70.7, 1.332, 15
71.2, 1.324, 8
84.3, 1.149, 10


For ZrTi5Ru4, a structure optimized by DFT (PBE) gives the computed PXRD pattern in this record (Cu Kα X-rays).
No peak broadening, texture or thermal motion is included.

Structural model:
a = 3.090 Å, b = 3.090 Å, c = 16.372 Å
α = 90.00°, β = 90.00°, γ = 90.00°
Element x y z (fractional)
Zr 0.000 0.000 0.000
Ti 0.500 0.500 0.125
Ti 0.500 0.500 0.312
Ti 0.500 0.500 0.500
Ti 0.500 0.500 0.688
Ti 0.500 0.500 0.875
Ru 0.000 0.000 0.217
Ru 0.000 0.000 0.406
Ru 0.000 0.000 0.594
Ru 0.000 0.000 0.783

Largest 10 diffraction maxima, low angle first, 10° ≤ 2θ ≤ 90°:
2θ (°), d/Å, I_rel
27.2, 3.274, 11
28.9, 3.090, 19
40.1, 2.247, 100
41.3, 2.185, 55
44.3, 2.045, 13
50.2, 1.818, 10
59.9, 1.545, 18
72.1, 1.310, 10
74.5, 1.273, 30
77.6, 1.230, 6


For TlRu4, a structure optimized by DFT (PBE) gives the computed PXRD pattern in this record (Cu Kα X-rays).
No peak broadening, texture or thermal motion is included.

Structural model:
a = 4.865 Å, b = 4.865 Å, c = 4.865 Å
α = 99.23°, β = 99.23°, γ = 132.79°
Element x y z (fractional)
Tl 0.000 0.000 0.000
Ru 0.185 0.404 0.588
Ru 0.404 0.815 0.219
Ru 0.596 0.185 0.781
Ru 0.815 0.596 0.412

Largest 10 diffraction maxima, low angle first, 10° ≤ 2θ ≤ 90°:
2θ (°), d/Å, I_rel
26.9, 3.314, 9
28.3, 3.152, 6
39.5, 2.284, 100
45.5, 1.994, 34
46.6, 1.948, 15
66.3, 1.410, 10
67.2, 1.393, 21
80.0, 1.200, 23
81.6, 1.180, 12
84.9, 1.142, 10


For Tl3Ru5, a structure optimized by DFT (PBE) gives the computed PXRD pattern in this record (Cu Kα X-rays).
No peak broadening, texture or thermal motion is included.

Structural model:
a = 8.399 Å, b = 8.399 Å, c = 4.873 Å
α = 90.00°, β = 90.00°, γ = 120.00°
Element x y z (fractional)
Tl 0.000 0.385 0.250
Tl 0.000 0.615 0.750
Tl 0.385 0.000 0.250
Tl 0.385 0.385 0.750
Tl 0.615 0.000 0.750
Tl 0.615 0.615 0.250
Ru 0.000 0.175 0.750
Ru 0.000 0.825 0.250
Ru 0.175 0.000 0.750
Ru 0.175 0.175 0.250
Ru 0.333 0.667 0.000
Ru 0.333 0.667 0.500
Ru 0.667 0.333 0.000
Ru 0.667 0.333 0.500
Ru 0.825 0.000 0.250
Ru 0.825 0.825 0.750

Largest 10 diffraction maxima, low angle first, 10° ≤ 2θ ≤ 90°:
2θ (°), d/Å, I_rel
28.0, 3.181, 78
32.6, 2.749, 22
36.9, 2.436, 24
37.1, 2.425, 40
37.6, 2.394, 100
42.9, 2.107, 39
44.9, 2.017, 30
47.1, 1.928, 55
66.9, 1.399, 20
76.2, 1.249, 29


For Tl4Ru, a structure optimized by DFT (PBE) gives the computed PXRD pattern in this record (Cu Kα X-rays).
No peak broadening, texture or thermal motion is included.

Structural model:
a = 5.327 Å, b = 5.327 Å, c = 5.327 Å
α = 90.00°, β = 90.00°, γ = 90.00°
Element x y z (fractional)
Tl 0.000 0.000 0.000
Tl 0.000 0.500 0.500
Tl 0.500 0.000 0.500
Tl 0.500 0.500 0.000
Ru 0.500 0.500 0.500

Largest 10 diffraction maxima, low angle first, 10° ≤ 2θ ≤ 90°:
2θ (°), d/Å, I_rel
16.6, 5.327, 7
23.6, 3.767, 6
29.0, 3.076, 100
33.6, 2.664, 87
48.3, 1.883, 64
57.4, 1.606, 46
60.2, 1.538, 22
70.7, 1.332, 10
78.2, 1.222, 19
80.7, 1.191, 29


For Tl4Ru, a structure optimized by DFT (PBE) gives the computed PXRD pattern in this record (Cu Kα X-rays).
No peak broadening, texture or thermal motion is included.

Structural model:
a = 6.353 Å, b = 6.353 Å, c = 6.455 Å
α = 90.00°, β = 90.00°, γ = 90.00°
Element x y z (fractional)
Tl 0.180 0.255 0.316
Tl 0.245 0.320 0.816
Tl 0.255 0.820 0.684
Tl 0.320 0.755 0.184
Tl 0.680 0.245 0.184
Tl 0.745 0.180 0.684
Tl 0.755 0.680 0.816
Tl 0.820 0.745 0.316
Ru 0.000 0.000 0.000
Ru 0.500 0.500 0.500

Largest 10 diffraction maxima, low angle first, 10° ≤ 2θ ≤ 90°:
2θ (°), d/Å, I_rel
27.6, 3.228, 28
28.1, 3.176, 84
31.5, 2.841, 45
34.2, 2.621, 100
34.5, 2.600, 65
39.8, 2.264, 66
40.1, 2.246, 41
42.4, 2.133, 25
60.0, 1.541, 26
61.0, 1.519, 35